No. 1
# NaAlSb
Computed X-ray diffraction stick pattern, Cu Ka. Input: a cell relaxed with PBE.

a b c (Å): 10.487 4.258 8.472
angles (deg): 90.00 118.28 90.00
Element x y z (fractional)
1 Na 0.062 0.000 0.355
2 Na 0.438 0.500 0.645
3 Na 0.562 0.500 0.355
4 Na 0.938 0.000 0.645
5 Al 0.140 0.500 0.044
6 Al 0.360 0.000 0.956
7 Al 0.640 0.000 0.044
8 Al 0.860 0.500 0.956
9 Sb 0.198 0.500 0.752
10 Sb 0.302 0.000 0.248
11 Sb 0.698 0.000 0.752
12 Sb 0.802 0.500 0.248

Main lines, in order of rising 2θ (2θ = 10–90°):
17.1°, rel. 36; 19.2°, rel. 40; 22.4°, rel. 27; 23.7°, rel. 50; 23.9°, rel. 37; 28.0°, rel. 100; 31.8°, rel. 23; 34.7°, rel. 42; 36.0°, rel. 42; 39.0°, rel. 25; 42.4°, rel. 29; 48.4°, rel. 26

---

No. 2
# Na2SrScAl
Computed X-ray diffraction stick pattern, Cu Ka. Input: a cell relaxed with PBE.

a b c (Å): 5.836 5.836 6.331
angles (deg): 90.00 90.00 90.00
Element x y z (fractional)
1 Na 0.000 0.500 0.000
2 Na 0.500 0.000 0.000
3 Sr 0.000 0.000 0.500
4 Sc 0.000 0.000 0.000
5 Al 0.500 0.500 0.500

Main lines, in order of rising 2θ (2θ = 10–90°):
15.2°, rel. 100; 21.5°, rel. 50; 25.8°, rel. 72; 28.2°, rel. 44; 30.6°, rel. 71; 32.2°, rel. 32; 34.4°, rel. 27; 35.7°, rel. 26; 42.1°, rel. 57; 43.9°, rel. 25; 45.0°, rel. 24; 53.0°, rel. 28

---

No. 3
# Na3Sc3AlTe8
Computed X-ray diffraction stick pattern, Cu Ka. Input: a cell relaxed with PBE.

a b c (Å): 8.239 8.239 9.140
angles (deg): 116.84 116.84 59.89
Element x y z (fractional)
1 Na 0.000 0.000 0.000
2 Na 0.000 0.500 0.000
3 Na 0.500 0.000 0.000
4 Sc 0.000 0.500 0.500
5 Sc 0.500 0.000 0.500
6 Sc 0.500 0.500 0.500
7 Al 0.000 0.000 0.500
8 Te 0.234 0.234 0.713
9 Te 0.234 0.746 0.713
10 Te 0.254 0.766 0.287
11 Te 0.260 0.260 0.279
12 Te 0.740 0.740 0.721
13 Te 0.746 0.234 0.713
14 Te 0.766 0.254 0.287
15 Te 0.766 0.766 0.287

Main lines, in order of rising 2θ (2θ = 10–90°):
11.3°, rel. 22; 22.8°, rel. 19; 26.1°, rel. 52; 29.3°, rel. 100; 36.9°, rel. 13; 39.9°, rel. 34; 44.0°, rel. 34; 49.9°, rel. 10; 50.1°, rel. 14; 53.8°, rel. 18; 71.9°, rel. 9; 76.6°, rel. 8

---

No. 4
# NaAlSe2
Computed X-ray diffraction stick pattern, Cu Ka. Input: a cell relaxed with PBE.

a b c (Å): 7.707 7.707 6.381
angles (deg): 90.00 90.00 90.00
Element x y z (fractional)
1 Na 0.000 0.000 0.250
2 Na 0.000 0.000 0.750
3 Na 0.500 0.500 0.250
4 Na 0.500 0.500 0.750
5 Al 0.000 0.500 0.250
6 Al 0.000 0.500 0.750
7 Al 0.500 0.000 0.250
8 Al 0.500 0.000 0.750
9 Se 0.169 0.331 0.000
10 Se 0.169 0.669 0.500
11 Se 0.331 0.169 0.500
12 Se 0.331 0.831 0.000
13 Se 0.669 0.169 0.000
14 Se 0.669 0.831 0.500
15 Se 0.831 0.331 0.500
16 Se 0.831 0.669 0.000

Main lines, in order of rising 2θ (2θ = 10–90°):
16.3°, rel. 14; 28.0°, rel. 12; 29.5°, rel. 100; 32.9°, rel. 12; 36.6°, rel. 36; 36.9°, rel. 11; 46.9°, rel. 12; 50.2°, rel. 10; 50.4°, rel. 22; 50.9°, rel. 23; 58.5°, rel. 12; 66.6°, rel. 10

---

No. 5
# Na2TbAlSe4
Computed X-ray diffraction stick pattern, Cu Ka. Input: a cell relaxed with PBE.

a b c (Å): 8.155 8.155 8.155
angles (deg): 122.06 118.40 89.63
Element x y z (fractional)
1 Na 0.000 0.000 0.000
2 Na 0.500 0.000 0.000
3 Na 0.500 0.000 0.500
4 Na 0.500 0.500 0.500
5 Tb 0.000 0.500 0.500
6 Tb 0.500 0.500 0.000
7 Al 0.000 0.000 0.500
8 Al 0.000 0.500 0.000
9 Se 0.211 0.749 0.462
10 Se 0.213 0.251 0.962
11 Se 0.235 0.238 0.503
12 Se 0.235 0.731 0.997
13 Se 0.765 0.269 0.003
14 Se 0.765 0.762 0.497
15 Se 0.787 0.749 0.038
16 Se 0.789 0.251 0.538

Main lines, in order of rising 2θ (2θ = 10–90°):
13.6°, rel. 47; 15.3°, rel. 15; 25.3°, rel. 20; 30.9°, rel. 52; 31.2°, rel. 100; 34.9°, rel. 15; 43.3°, rel. 16; 44.5°, rel. 71; 46.0°, rel. 18; 54.2°, rel. 16; 56.4°, rel. 18; 73.3°, rel. 15

---

No. 6
# Na2AlTeSe4
Computed X-ray diffraction stick pattern, Cu Ka. Input: a cell relaxed with PBE.

a b c (Å): 4.889 6.712 7.153
angles (deg): 101.91 97.72 98.21
Element x y z (fractional)
1 Na 0.000 0.000 0.000
2 Na 0.441 0.489 0.973
3 Al 0.554 0.065 0.534
4 Te 0.861 0.573 0.514
5 Se 0.354 0.840 0.725
6 Se 0.366 0.298 0.350
7 Se 0.729 0.838 0.286
8 Se 0.871 0.315 0.792

Main lines, in order of rising 2θ (2θ = 10–90°):
12.8°, rel. 63; 24.8°, rel. 100; 25.1°, rel. 26; 26.3°, rel. 25; 31.1°, rel. 64; 32.0°, rel. 27; 33.3°, rel. 43; 33.6°, rel. 22; 37.7°, rel. 31; 42.5°, rel. 25; 42.9°, rel. 21; 47.5°, rel. 17